No. 1
Starting from a crystal structure in the Materials Project, relaxed with PBE, the powder X-ray diffraction pattern of Ta2CS2 was calculated for a wavelength of 1.5418 Å.
Peak positions follow from Bragg's law for the DFT cell and can differ from measured ones.

Structure:
abc: 3.2899 3.2899 8.9361
angles: 90.00 90.00 120.00
Space group P-3m1 (No. 164)
Unique sites:
Ta 0.3333 0.6667 0.1326
C 0.0000 0.0000 0.0000
S 0.3333 0.6667 0.6857

Top 8 peaks for 2θ = 15–90°, by angle:
- 2θ 31.4, d = 2.849 Å, rel. 26
- 2θ 33.0, d = 2.714 Å, rel. 45
- 2θ 37.4, d = 2.402 Å, rel. 100
- 2θ 44.0, d = 2.059 Å, rel. 29
- 2θ 52.0, d = 1.758 Å, rel. 15
- 2θ 55.9, d = 1.645 Å, rel. 23
- 2θ 69.2, d = 1.357 Å, rel. 16
- 2θ 71.2, d = 1.325 Å, rel. 15


No. 2
Starting from a crystal structure in the Materials Project, relaxed with PBE, the powder X-ray diffraction pattern of Ta2CS2 was calculated for a wavelength of 1.5418 Å.
Peak positions follow from Bragg's law for the DFT cell and can differ from measured ones.

Structure:
abc: 3.2867 3.2867 28.8651
angles: 90.00 90.00 120.00
Space group R-3m (No. 166, hexagonal axes)
Unique sites:
Ta 0.0000 0.0000 0.1257
C 0.0000 0.0000 0.5000
S 0.0000 0.0000 0.2642

Top 8 peaks for 2θ = 15–90°, by angle:
- 2θ 31.6, d = 2.833 Å, rel. 61
- 2θ 33.9, d = 2.648 Å, rel. 75
- 2θ 35.2, d = 2.553 Å, rel. 69
- 2θ 38.4, d = 2.342 Å, rel. 55
- 2θ 40.4, d = 2.235 Å, rel. 100
- 2θ 52.3, d = 1.751 Å, rel. 25
- 2θ 56.0, d = 1.643 Å, rel. 41
- 2θ 56.8, d = 1.620 Å, rel. 27


No. 3
Starting from a crystal structure in the Materials Project, relaxed with PBE, the powder X-ray diffraction pattern of Ta6TiC3S6 was calculated for a wavelength of 1.5418 Å.
Peak positions follow from Bragg's law for the DFT cell and can differ from measured ones.

Structure:
abc: 5.738 9.939 8.861
angles: 90.00 102.49 90.00
Space group C2/m (No. 12)
Unique sites:
Ta 0.122 0.000 0.368
Ta 0.122 0.333 0.367
Ti 0.000 0.000 0.000
C 0.000 0.168 0.500
C 0.000 0.500 0.500
S 0.222 0.500 0.173
S 0.226 0.168 0.174

Top 8 peaks for 2θ = 15–90°, by angle:
- 2θ 31.4, d = 2.852 Å, rel. 88
- 2θ 34.2, d = 2.624 Å, rel. 85
- 2θ 35.8, d = 2.511 Å, rel. 97
- 2θ 39.7, d = 2.269 Å, rel. 61
- 2θ 42.0, d = 2.149 Å, rel. 100
- 2θ 55.5, d = 1.656 Å, rel. 55
- 2θ 56.1, d = 1.639 Å, rel. 33
- 2θ 71.8, d = 1.315 Å, rel. 32